1.
TaAsPCl13: calculated PXRD pattern (Cu Kα X-rays), based on a PBE-relaxed structure.

Crystal structure
```
32
Lattice="5.207 -8.163 0.000 5.207 8.163 0.000 0.000 0.000 12.089" Properties=species:S:1:pos:R:3 pbc="T T T"
Ta 5.207 4.831 6.044
Ta 5.207 -4.831 0.000
As 5.207 0.751 7.874
As 5.207 -0.751 1.830
P 5.207 5.839 11.656
P 5.207 -5.839 5.612
Cl 1.677 2.379 10.721
Cl 1.600 1.445 4.900
Cl 5.207 6.768 7.433
Cl 3.529 3.870 7.447
Cl 5.207 5.894 1.518
Cl 1.600 -1.445 10.945
Cl 5.207 3.967 11.071
Cl 3.511 0.652 1.584
Cl 1.677 -2.379 4.677
Cl 5.207 2.881 4.699
Cl 3.511 -0.652 7.628
Cl 6.885 3.870 7.447
Cl 5.207 0.867 10.094
Cl 5.207 -0.867 4.050
Cl 3.529 -3.870 1.403
Cl 6.904 0.652 1.584
Cl 5.207 -2.881 10.743
Cl 8.738 2.379 10.721
Cl 6.904 -0.652 7.628
Cl 5.207 -3.967 5.026
Cl 8.814 1.445 4.900
Cl 5.207 -5.894 7.563
Cl 6.885 -3.870 1.403
Cl 5.207 -6.768 1.388
Cl 8.814 -1.445 10.945
Cl 8.738 -2.379 4.677
```

Principal peaks in the range 2θ = 10–90°, in order of rising 2θ:
2θ (°)	I_rel
12.46	100.0
17.03	54.3
17.82	36.0
18.26	40.1
18.39	61.7
25.07	38.4

2.
KS: calculated PXRD pattern (Cu Kα X-rays), based on a PBE-relaxed structure.

Crystal structure
```
2
Lattice="3.838 0.000 0.000 0.000 3.838 0.000 0.000 0.000 3.838" Properties=species:S:1:pos:R:3 pbc="T T T"
K 0.000 0.000 0.000
S 1.919 1.919 1.919
```

Principal peaks in the range 2θ = 10–90°, in order of rising 2θ:
2θ (°)	I_rel
33.01	100.0
47.38	15.9
58.95	30.9
69.25	9.2
78.88	12.7
88.20	3.3

3.
Lu3Ga5Co: calculated PXRD pattern (Cu Kα X-rays), based on a PBE-relaxed structure.

Crystal structure
```
9
Lattice="6.804 0.000 0.000 -3.402 5.892 0.000 0.000 0.000 4.172" Properties=species:S:1:pos:R:3 pbc="T T T"
Lu -2.013 3.487 0.000
Lu 1.389 2.405 0.000
Lu 4.026 0.000 0.000
Ga -0.789 1.366 2.086
Ga 1.577 0.000 2.086
Ga 0.000 3.928 2.086
Ga 3.402 1.964 2.086
Ga 2.613 4.526 2.086
Co 0.000 0.000 0.000
```

Principal peaks in the range 2θ = 10–90°, in order of rising 2θ:
2θ (°)	I_rel
34.00	100.0
37.37	72.1
40.50	37.8
43.38	26.4
60.86	49.7
73.63	41.6

4.
Mn3Os: calculated PXRD pattern (Cu Kα X-rays), based on a PBE-relaxed structure.

Crystal structure
```
8
Lattice="5.145 0.000 0.000 -2.572 4.455 0.000 0.000 0.000 4.097" Properties=species:S:1:pos:R:3 pbc="T T T"
Mn 0.000 1.444 1.024
Mn -1.322 3.734 1.024
Mn 1.250 0.722 3.073
Mn 1.322 3.734 1.024
Mn 3.894 0.722 3.073
Mn 2.572 3.012 3.073
Os 0.000 2.970 3.073
Os 2.572 1.485 1.024
```

Principal peaks in the range 2θ = 10–90°, in order of rising 2θ:
2θ (°)	I_rel
29.62	49.0
34.88	20.5
40.49	24.9
44.22	25.7
46.40	100.0
82.93	17.5